This entry pairs a crystal structure of Ho5TcNi with its simulated XRD peak list. Radiation: CuKα. Structure: a cell relaxed with PBE.
Kinematic intensities with the Lorentz-polarization factor, no thermal factor.

Largest 10 diffraction maxima, low angle first, 2θ = 10–90°:
13.0°, I = 27
26.2°, I = 24
28.8°, I = 41
29.8°, I = 68
30.3°, I = 33
32.1°, I = 100
34.5°, I = 65
35.3°, I = 28
45.1°, I = 34
52.1°, I = 25

Structural model:
```
data_Ho5TcNi
_chemical_formula_sum 'Ho10 Tc2 Ni2'
_symmetry_space_group_name_H-M 'P 1'
_symmetry_Int_Tables_number 1
_cell_length_a 8.242
_cell_length_b 8.242
_cell_length_c 6.359
_cell_angle_alpha 101.22
_cell_angle_beta 101.22
_cell_angle_gamma 111.16
loop_
_symmetry_equiv_pos_as_xyz
'x,y,z'
loop_
_atom_site_label
_atom_site_fract_x
_atom_site_fract_y
_atom_site_fract_z
Ho1 0.146 0.312 0.860
Ho2 0.147 0.853 0.750
Ho3 0.242 0.546 0.438
Ho4 0.312 0.146 0.360
Ho5 0.454 0.758 0.062
Ho6 0.546 0.242 0.938
Ho7 0.688 0.854 0.640
Ho8 0.758 0.454 0.562
Ho9 0.853 0.147 0.250
Ho10 0.854 0.688 0.140
Tc1 0.499 0.501 0.250
Tc2 0.501 0.499 0.750
Ni1 0.000 0.000 0.000
Ni2 0.000 0.000 0.500
```

This entry pairs a crystal structure of SrPd2Pb4 with its simulated XRD peak list. Radiation: CuKα. Structure: a cell relaxed with PBE.
Kinematic intensities with the Lorentz-polarization factor, no thermal factor.

Largest 10 diffraction maxima, low angle first, 2θ = 10–90°:
30.1°, I = 20
31.1°, I = 100
31.6°, I = 67
33.1°, I = 24
33.8°, I = 24
37.4°, I = 23
37.7°, I = 58
40.7°, I = 42
58.5°, I = 22
59.4°, I = 19

Structural model:
```
data_SrPd2Pb4
_chemical_formula_sum 'Sr4 Pd8 Pb16'
_symmetry_space_group_name_H-M 'P 1'
_symmetry_Int_Tables_number 1
_cell_length_a 19.750
_cell_length_b 4.769
_cell_length_c 7.741
_cell_angle_alpha 90.00
_cell_angle_beta 90.00
_cell_angle_gamma 90.00
loop_
_symmetry_equiv_pos_as_xyz
'x,y,z'
loop_
_atom_site_label
_atom_site_fract_x
_atom_site_fract_y
_atom_site_fract_z
Sr1 0.143 0.250 0.022
Sr2 0.357 0.750 0.522
Sr3 0.643 0.250 0.478
Sr4 0.857 0.750 0.978
Pd1 0.039 0.750 0.237
Pd2 0.216 0.250 0.535
Pd3 0.284 0.750 0.035
Pd4 0.461 0.250 0.737
Pd5 0.539 0.750 0.263
Pd6 0.716 0.250 0.965
Pd7 0.784 0.750 0.465
Pd8 0.961 0.250 0.763
Pb1 0.031 0.750 0.857
Pb2 0.067 0.250 0.495
Pb3 0.182 0.750 0.322
Pb4 0.194 0.750 0.735
Pb5 0.306 0.250 0.235
Pb6 0.318 0.250 0.822
Pb7 0.433 0.750 0.995
Pb8 0.469 0.250 0.357
Pb9 0.531 0.750 0.643
Pb10 0.567 0.250 0.005
Pb11 0.682 0.750 0.178
Pb12 0.694 0.750 0.765
Pb13 0.806 0.250 0.265
Pb14 0.818 0.250 0.678
Pb15 0.933 0.750 0.505
Pb16 0.969 0.250 0.143
```

This entry pairs a crystal structure of AcInH6Ru with its simulated XRD peak list. Radiation: CuKα. Structure: a cell relaxed with PBE.
Kinematic intensities with the Lorentz-polarization factor, no thermal factor.

Largest 10 diffraction maxima, low angle first, 2θ = 10–90°:
21.3°, I = 10
28.3°, I = 100
37.3°, I = 43
37.5°, I = 14
47.5°, I = 25
54.0°, I = 30
61.9°, I = 22
62.2°, I = 11
79.7°, I = 10
86.4°, I = 9

Structural model:
```
data_AcInH6Ru
_chemical_formula_sum 'Ac1 In1 H6 Ru1'
_symmetry_space_group_name_H-M 'P 1'
_symmetry_Int_Tables_number 1
_cell_length_a 4.822
_cell_length_b 4.822
_cell_length_c 4.791
_cell_angle_alpha 90.00
_cell_angle_beta 90.00
_cell_angle_gamma 120.00
loop_
_symmetry_equiv_pos_as_xyz
'x,y,z'
loop_
_atom_site_label
_atom_site_fract_x
_atom_site_fract_y
_atom_site_fract_z
Ac1 0.000 0.000 0.000
In1 0.333 0.667 0.499
H1 0.525 0.050 0.773
H2 0.525 0.051 0.228
H3 0.525 0.475 0.228
H4 0.525 0.475 0.773
H5 0.949 0.475 0.228
H6 0.950 0.475 0.773
Ru1 0.667 0.333 0.501
```

This entry pairs a crystal structure of AcPt4 with its simulated XRD peak list. Radiation: CuKα. Structure: a cell relaxed with PBE.
Kinematic intensities with the Lorentz-polarization factor, no thermal factor.

Largest 10 diffraction maxima, low angle first, 2θ = 10–90°:
33.0°, I = 93
35.7°, I = 51
38.3°, I = 24
40.7°, I = 100
45.2°, I = 19
55.2°, I = 24
60.7°, I = 27
65.9°, I = 20
70.8°, I = 18
83.5°, I = 20

Structural model:
```
data_AcPt4
_chemical_formula_sum 'Ac4 Pt16'
_symmetry_space_group_name_H-M 'P 1'
_symmetry_Int_Tables_number 1
_cell_length_a 8.148
_cell_length_b 8.148
_cell_length_c 8.148
_cell_angle_alpha 109.47
_cell_angle_beta 109.47
_cell_angle_gamma 109.47
loop_
_symmetry_equiv_pos_as_xyz
'x,y,z'
loop_
_atom_site_label
_atom_site_fract_x
_atom_site_fract_y
_atom_site_fract_z
Ac1 0.000 0.000 0.447
Ac2 0.000 0.447 0.000
Ac3 0.447 0.000 0.000
Ac4 0.553 0.553 0.553
Pt1 0.000 0.000 0.795
Pt2 0.000 0.351 0.351
Pt3 0.000 0.649 0.649
Pt4 0.000 0.795 0.000
Pt5 0.205 0.205 0.205
Pt6 0.250 0.500 0.750
Pt7 0.250 0.750 0.500
Pt8 0.351 0.000 0.351
Pt9 0.351 0.351 0.000
Pt10 0.500 0.250 0.750
Pt11 0.500 0.750 0.250
Pt12 0.649 0.000 0.649
Pt13 0.649 0.649 0.000
Pt14 0.750 0.250 0.500
Pt15 0.750 0.500 0.250
Pt16 0.795 0.000 0.000
```